Computed X-ray diffraction stick pattern
Compound: SbIBr3
Radiation: Cu Kα (λ = 1.5418 Å)
Structure: a GGA-PBE-relaxed structure
Lines closer than 0.1° are merged.

Atomic structure:
```
SbIBr3
1.0
8.3090 0.0000 0.0000
0.0000 8.2346 0.0000
-0.0223 0.0000 15.2494
Sb I Br
4 4 12
Direct
0.0956 0.1961 0.0972
0.0956 0.8039 0.5972
0.9044 0.1961 0.4028
0.9044 0.8039 0.9028
0.0804 0.4006 0.8288
0.0804 0.5994 0.3288
0.9196 0.4006 0.6712
0.9196 0.5994 0.1712
0.2257 0.0597 0.5293
0.2257 0.9403 0.0293
0.2547 0.1730 0.2400
0.2547 0.8270 0.7400
0.2840 0.3956 0.0155
0.2840 0.6044 0.5155
0.7160 0.3956 0.4845
0.7160 0.6044 0.9845
0.7453 0.1730 0.2600
0.7453 0.8270 0.7600
0.7743 0.0597 0.9707
0.7743 0.9403 0.4707
```

The 8 most intense peaks (10° ≤ 2θ ≤ 90°), by angle:
d/Å  two_theta  Rel. int.  h k l
8.309  10.6  100  1 0 0
5.461  16.2  34  1 1 -1
4.643  19.1  38  1 1 -2
3.975  22.4  36  0 2 1
3.586  24.8  43  1 2 -1
3.463  25.7  29  1 0 4
2.998  29.8  24  2 1 -3
2.807  31.9  37  2 0 4